The following is a computed X-ray powder pattern of MnHgF5. It was derived from a cell relaxed with PBE+U, using CuKα.

The 6 most intense peaks (10° ≤ 2θ ≤ 80°), low angle first:
5.321 Å, rel. 64
4.163 Å, rel. 94
3.459 Å, rel. 62
3.383 Å, rel. 100
2.625 Å, rel. 51
2.466 Å, rel. 44

Structure:
```
MnHgF5
1.0
-1.9389 3.4590 4.1626
1.9389 -3.4590 4.1626
1.9389 3.4590 -4.1626
Mn Hg F
1 1 5
Cartesian
0.0000 0.0000 0.0000
0.0000 0.0000 4.1626
1.9389 0.0000 0.0000
0.0000 0.0000 1.8572
0.0000 2.0915 0.0000
0.0000 4.8265 0.0000
0.0000 0.0000 6.4679
```